No. 1
Starting from a structure optimized by DFT (GGA-PBE), the powder XRD pattern of Sm4ZnRh4 was computed for λ = 1.5418 Å (Cu Kα).
Lines closer than 0.1° are merged.

a b c (Å): 8.5499 8.5499 5.6061
angles (deg): 90.00 90.00 90.00
Space group P4_2/n (No. 86, origin choice 2)
Inequivalent atoms, fractional coordinates:
1 Sm 0.0434 0.6836 0.1158 x8
2 Zn 0.2500 0.2500 0.2500 x2
3 Rh 0.0014 0.6392 0.6143 x8

Principal peaks in the range 5 to 70 degrees two-theta, low angle first:
(hkl)	2θ (°)	Rel. int.
2 1 1	28.25	15.2
2 2 0	29.55	15.6
1 3 0	33.13	100.0
1 0 2	33.65	53.8
3 1 1	36.91	11.1
1 2 2	39.88	55.4
4 2 0	47.56	21.5
2 3 2	50.41	35.3
4 1 2	55.09	26.7
2 5 2	67.84	13.9

=====

No. 2
Starting from a structure optimized by DFT (GGA-PBE), the powder XRD pattern of AcCeGa4 was computed for λ = 1.5418 Å (Cu Kα).
Lines closer than 0.1° are merged.

a b c (Å): 4.3833 4.3833 15.1392
angles (deg): 90.00 90.00 90.00
Space group I-4m2 (No. 119)
Inequivalent atoms, fractional coordinates:
1 Ac 0.0000 0.0000 0.0000 x2
2 Ce 0.0000 0.5000 0.2500 x2
3 Ga 0.0000 0.0000 0.4136 x4
4 Ga 0.0000 0.5000 0.6694 x4

Principal peaks in the range 5 to 70 degrees two-theta, low angle first:
(hkl)	2θ (°)	Rel. int.
1 0 3	26.94	39.4
1 1 2	31.18	100.0
1 0 5	36.05	51.3
2 0 0	41.19	39.2
1 0 7	46.84	23.9
2 1 3	49.91	14.9
2 1 5	55.87	29.0
2 2 0	59.66	13.1
2 1 7	64.11	19.1
3 1 2	68.86	20.6

=====

No. 3
Starting from a structure optimized by DFT (GGA-PBE), the powder XRD pattern of Tb4HoCd was computed for λ = 1.5418 Å (Cu Kα).
Lines closer than 0.1° are merged.

a b c (Å): 8.7022 14.1549 6.3100
angles (deg): 90.00 109.20 90.00
Space group C2/c (No. 15)
Inequivalent atoms, fractional coordinates:
1 Tb 0.0980 0.1909 0.0432 x8
2 Tb 0.2152 0.3775 0.3778 x8
3 Ho 0.0000 0.4110 0.7500 x4
4 Cd 0.0000 0.0005 0.7500 x4

Principal peaks in the range 5 to 70 degrees two-theta, low angle first:
(hkl)	2θ (°)	Rel. int.
1 3 1	28.41	54.5
1 1 -2	29.01	40.9
3 1 -1	31.78	91.5
0 2 2	32.61	35.4
2 2 1	32.81	100.0
2 2 -2	33.30	32.6
1 5 0	33.46	93.0
2 4 -1	33.58	33.7
1 3 -2	34.20	80.8
4 2 -3	54.20	25.6

=====

No. 4
Starting from a structure optimized by DFT (GGA-PBE), the powder XRD pattern of Pm3Er2Te6 was computed for λ = 1.5418 Å (Cu Kα).
Lines closer than 0.1° are merged.

a b c (Å): 4.3930 4.3930 65.8767
angles (deg): 90.00 90.00 120.00
Space group R-3m (No. 166, hexagonal axes)
Inequivalent atoms, fractional coordinates:
1 Pm 0.0000 0.0000 0.0000 x3
2 Pm 0.0000 0.0000 0.2774 x6
3 Er 0.0000 0.0000 0.4483 x6
4 Te 0.0000 0.0000 0.0856 x6
5 Te 0.0000 0.0000 0.1947 x6
6 Te 0.0000 0.0000 0.3615 x6

Principal peaks in the range 5 to 70 degrees two-theta, low angle first:
(hkl)	2θ (°)	Rel. int.
0 1 11	27.78	100.0
0 1 14	30.21	14.8
1 0 22	38.25	21.6
1 1 0	41.09	43.7
1 0 25	41.70	20.6
0 0 36	49.83	6.7
2 0 11	50.33	19.4
0 2 25	59.98	7.0
1 1 36	66.51	16.7
1 2 11	66.92	16.4

=====

No. 5
Starting from a structure optimized by DFT (GGA-PBE), the powder XRD pattern of NaMg2SnS4 was computed for λ = 1.5418 Å (Cu Kα).
Lines closer than 0.1° are merged.

a b c (Å): 5.4391 5.4391 10.6870
angles (deg): 90.00 90.00 90.00
Space group I-4m2 (No. 119)
Inequivalent atoms, fractional coordinates:
1 Na 0.0000 0.0000 0.0000 x2
2 Mg 0.0000 0.0000 0.5000 x2
3 Mg 0.0000 0.5000 0.2500 x2
4 Sn 0.0000 0.5000 0.7500 x2
5 S 0.0000 0.0000 0.2629 x4
6 S 0.0000 0.5000 0.0037 x4

Principal peaks in the range 5 to 70 degrees two-theta, low angle first:
(hkl)	2θ (°)	Rel. int.
0 0 2	16.59	21.6
1 0 1	18.30	65.8
1 1 0	23.13	20.4
1 0 3	29.99	23.8
2 0 0	32.94	100.0
0 0 4	33.54	46.4
2 1 1	37.94	22.4
2 2 0	47.27	34.4
2 0 4	47.72	65.4
2 2 4	59.20	33.6

=====

Please write out number 4 again, unchanged.
Starting from a structure optimized by DFT (GGA-PBE), the powder XRD pattern of Pm3Er2Te6 was computed for λ = 1.5418 Å (Cu Kα).
Lines closer than 0.1° are merged.

a b c (Å): 4.3930 4.3930 65.8767
angles (deg): 90.00 90.00 120.00
Space group R-3m (No. 166, hexagonal axes)
Inequivalent atoms, fractional coordinates:
1 Pm 0.0000 0.0000 0.0000 x3
2 Pm 0.0000 0.0000 0.2774 x6
3 Er 0.0000 0.0000 0.4483 x6
4 Te 0.0000 0.0000 0.0856 x6
5 Te 0.0000 0.0000 0.1947 x6
6 Te 0.0000 0.0000 0.3615 x6

Principal peaks in the range 5 to 70 degrees two-theta, low angle first:
(hkl)	2θ (°)	Rel. int.
0 1 11	27.78	100.0
0 1 14	30.21	14.8
1 0 22	38.25	21.6
1 1 0	41.09	43.7
1 0 25	41.70	20.6
0 0 36	49.83	6.7
2 0 11	50.33	19.4
0 2 25	59.98	7.0
1 1 36	66.51	16.7
1 2 11	66.92	16.4